The following is a computed X-ray powder pattern of GaPd17. It was derived from a crystal structure in OQMD, relaxed with GGA-PBE, using Cu Kα (weighted mean of Kα1 and Kα2).
Intensities are scaled so that the largest is 100.

Most intense lines, 5 to 70 degrees two-theta, by angle:
- 2θ = 5.2°, I = 96
- 2θ = 10.5°, I = 16
- 2θ = 37.3°, I = 24
- 2θ = 39.1°, I = 39
- 2θ = 39.9°, I = 100
- 2θ = 40.1°, I = 29
- 2θ = 44.9°, I = 35
- 2θ = 46.5°, I = 61
- 2θ = 67.8°, I = 24
- 2θ = 68.0°, I = 17

Crystal structure
```
data_GaPd17
_chemical_formula_sum 'Ga2 Pd34'
_symmetry_space_group_name_H-M 'P 1 21/m 1'
_symmetry_Int_Tables_number 11
_symmetry_space_group_name_Hall '-P 2yb'
_cell_length_a 4.786
_cell_length_b 5.535
_cell_length_c 33.725
_cell_angle_alpha 90.00
_cell_angle_beta 90.03
_cell_angle_gamma 90.00
loop_
_atom_site_label
_atom_site_fract_x
_atom_site_fract_y
_atom_site_fract_z
Ga1 0.166 0.250 0.269
Pd1 0.000 0.000 0.000
Pd2 0.000 0.000 0.205
Pd3 0.166 0.750 0.863
Pd4 0.167 0.250 0.068
Pd5 0.167 0.250 0.864
Pd6 0.167 0.750 0.068
Pd7 0.168 0.750 0.274
Pd8 0.333 0.000 0.137
Pd9 0.333 0.503 0.726
Pd10 0.334 0.000 0.932
Pd11 0.497 0.250 0.205
Pd12 0.497 0.250 0.795
Pd13 0.500 0.250 0.000
```



The following is a computed X-ray powder pattern of Ga7Pd3. It was derived from a crystal structure in OQMD, relaxed with GGA-PBE, using Cu Kα (weighted mean of Kα1 and Kα2).
Intensities are scaled so that the largest is 100.

Most intense lines, 5 to 70 degrees two-theta, by angle:
- 2θ = 20.0°, I = 9
- 2θ = 24.6°, I = 30
- 2θ = 35.1°, I = 36
- 2θ = 38.0°, I = 27
- 2θ = 43.3°, I = 100
- 2θ = 45.8°, I = 7
- 2θ = 50.5°, I = 19
- 2θ = 62.9°, I = 19
- 2θ = 64.9°, I = 9
- 2θ = 68.6°, I = 15

Crystal structure
```
data_Ga7Pd3
_chemical_formula_sum 'Ga28 Pd12'
_symmetry_space_group_name_H-M 'I m -3 m'
_symmetry_Int_Tables_number 229
_symmetry_space_group_name_Hall '-I 4 2 3'
_cell_length_a 8.861
_cell_length_b 8.861
_cell_length_c 8.861
_cell_angle_alpha 90.00
_cell_angle_beta 90.00
_cell_angle_gamma 90.00
loop_
_atom_site_label
_atom_site_fract_x
_atom_site_fract_y
_atom_site_fract_z
Ga1 0.000 0.250 0.500
Ga2 0.165 0.165 0.165
Pd1 0.000 0.000 0.343
```



The following is a computed X-ray powder pattern of GaPd3. It was derived from a crystal structure in OQMD, relaxed with GGA-PBE, using Cu Kα (weighted mean of Kα1 and Kα2).
Intensities are scaled so that the largest is 100.

Most intense lines, 5 to 70 degrees two-theta, by angle:
- 2θ = 35.7°, I = 5
- 2θ = 36.7°, I = 4
- 2θ = 36.9°, I = 3
- 2θ = 38.6°, I = 4
- 2θ = 39.7°, I = 100
- 2θ = 41.3°, I = 3
- 2θ = 45.5°, I = 30
- 2θ = 47.3°, I = 17
- 2θ = 66.3°, I = 7
- 2θ = 67.8°, I = 18

Crystal structure
```
data_GaPd3
_chemical_formula_sum 'Ga16 Pd48'
_symmetry_space_group_name_H-M 'I 41/a c d'
_symmetry_Int_Tables_number 142
_cell_length_a 5.636
_cell_length_b 5.636
_cell_length_c 30.725
_cell_angle_alpha 90.00
_cell_angle_beta 90.00
_cell_angle_gamma 90.00
loop_
_symmetry_equiv_pos_as_xyz
'x,y,z'
'-x,-y,-z'
'-y+1/4,x+3/4,z+1/4'
'y+1/4,-x+3/4,-z+1/4'
'-x+1/2,-y,z+1/2'
'x+1/2,y,-z+1/2'
'y+1/4,-x+1/4,z+3/4'
'-y+1/4,x+1/4,-z+3/4'
'x,-y,-z+1/2'
'-x,y,z+1/2'
'-y+1/4,-x+1/4,-z+1/4'
'y+1/4,x+1/4,z+1/4'
'-x+1/2,y,-z'
'x+1/2,-y,z'
'y+1/4,x+3/4,-z+3/4'
'-y+1/4,-x+3/4,z+3/4'
'x+1/2,y+1/2,z+1/2'
'-x+1/2,-y+1/2,-z+1/2'
'-y+3/4,x+1/4,z+3/4'
'y+3/4,-x+1/4,-z+3/4'
'-x,-y+1/2,z'
'x,y+1/2,-z'
'y+3/4,-x+3/4,z+1/4'
'-y+3/4,x+3/4,-z+1/4'
'x+1/2,-y+1/2,-z'
'-x+1/2,y+1/2,z'
'-y+3/4,-x+3/4,-z+3/4'
'y+3/4,x+3/4,z+3/4'
'-x,y+1/2,-z+1/2'
'x,-y+1/2,z+1/2'
'y+3/4,x+1/4,-z+1/4'
'-y+3/4,-x+1/4,z+1/4'
loop_
_atom_site_label
_atom_site_fract_x
_atom_site_fract_y
_atom_site_fract_z
Ga1 0.000 0.250 0.058
Pd1 0.000 0.250 0.313
Pd2 0.190 0.060 0.125
Pd3 0.250 0.000 0.000
```



The following is a computed X-ray powder pattern of GaPd8. It was derived from a crystal structure in OQMD, relaxed with GGA-PBE, using Cu Kα (weighted mean of Kα1 and Kα2).
Intensities are scaled so that the largest is 100.

Most intense lines, 5 to 70 degrees two-theta, by angle:
- 2θ = 8.9°, I = 70
- 2θ = 37.3°, I = 62
- 2θ = 39.6°, I = 99
- 2θ = 39.7°, I = 100
- 2θ = 40.6°, I = 61
- 2θ = 44.7°, I = 35
- 2θ = 45.4°, I = 26
- 2θ = 46.8°, I = 60
- 2θ = 47.0°, I = 24
- 2θ = 66.8°, I = 28

Crystal structure
```
data_GaPd8
_chemical_formula_sum 'Ga4 Pd32'
_symmetry_space_group_name_H-M 'C 1 2/m 1'
_symmetry_Int_Tables_number 12
_symmetry_space_group_name_Hall '-C 2y'
_cell_length_a 8.743
_cell_length_b 3.877
_cell_length_c 29.684
_cell_angle_alpha 90.00
_cell_angle_beta 90.19
_cell_angle_gamma 90.00
loop_
_atom_site_label
_atom_site_fract_x
_atom_site_fract_y
_atom_site_fract_z
Ga1 0.051 0.000 0.254
Pd1 0.050 0.500 0.393
Pd2 0.051 0.000 0.546
Pd3 0.051 0.500 0.701
Pd4 0.149 0.000 0.637
Pd5 0.149 0.500 0.485
Pd6 0.155 0.000 0.333
Pd7 0.247 0.500 0.266
Pd8 0.249 0.000 0.424
```



The following is a computed X-ray powder pattern of GaPd10. It was derived from a crystal structure in OQMD, relaxed with GGA-PBE, using Cu Kα (weighted mean of Kα1 and Kα2).
Intensities are scaled so that the largest is 100.

Most intense lines, 5 to 70 degrees two-theta, by angle:
- 2θ = 5.4°, I = 65
- 2θ = 8.1°, I = 19
- 2θ = 10.8°, I = 12
- 2θ = 37.3°, I = 26
- 2θ = 39.5°, I = 100
- 2θ = 40.1°, I = 51
- 2θ = 43.7°, I = 17
- 2θ = 45.9°, I = 18
- 2θ = 46.3°, I = 15
- 2θ = 46.7°, I = 30

Crystal structure
```
data_GaPd10
_chemical_formula_sum 'Ga4 Pd40'
_symmetry_space_group_name_H-M 'C 1 2/m 1'
_symmetry_Int_Tables_number 12
_symmetry_space_group_name_Hall '-C 2y'
_cell_length_a 8.738
_cell_length_b 3.892
_cell_length_c 32.834
_cell_angle_alpha 90.00
_cell_angle_beta 90.37
_cell_angle_gamma 90.00
loop_
_atom_site_label
_atom_site_fract_x
_atom_site_fract_y
_atom_site_fract_z
Ga1 0.150 0.000 0.222
Pd1 0.047 0.000 0.679
Pd2 0.048 0.500 0.263
Pd3 0.049 0.500 0.541
Pd4 0.051 0.000 0.404
Pd5 0.148 0.500 0.623
Pd6 0.150 0.000 0.486
Pd7 0.152 0.500 0.348
Pd8 0.154 0.000 0.767
Pd9 0.244 0.500 0.706
Pd10 0.249 0.000 0.569
```



The following is a computed X-ray powder pattern of Pm3Ga4Pd2. It was derived from a crystal structure in OQMD, relaxed with GGA-PBE, using Cu Kα (weighted mean of Kα1 and Kα2).
Intensities are scaled so that the largest is 100.

Most intense lines, 5 to 70 degrees two-theta, by angle:
- 2θ = 32.8°, I = 45
- 2θ = 33.4°, I = 85
- 2θ = 33.7°, I = 38
- 2θ = 33.8°, I = 94
- 2θ = 39.7°, I = 100
- 2θ = 40.6°, I = 53
- 2θ = 49.6°, I = 23
- 2θ = 53.2°, I = 33
- 2θ = 53.8°, I = 20
- 2θ = 66.0°, I = 17

Crystal structure
```
data_Pm3Ga4Pd2
_chemical_formula_sum 'Pm6 Ga8 Pd4'
_symmetry_space_group_name_H-M 'C 1 2/m 1'
_symmetry_Int_Tables_number 12
_symmetry_space_group_name_Hall '-C 2y'
_cell_length_a 10.948
_cell_length_b 4.443
_cell_length_c 8.637
_cell_angle_alpha 90.00
_cell_angle_beta 112.62
_cell_angle_gamma 90.00
loop_
_atom_site_label
_atom_site_fract_x
_atom_site_fract_y
_atom_site_fract_z
Pm1 0.000 0.000 0.000
Pm2 0.178 0.500 0.646
Ga1 0.021 0.000 0.359
Ga2 0.244 0.500 0.083
Pd1 0.100 0.500 0.267
```



The following is a computed X-ray powder pattern of Ga4PdPt3. It was derived from a crystal structure in OQMD, relaxed with GGA-PBE, using Cu Kα (weighted mean of Kα1 and Kα2).
Intensities are scaled so that the largest is 100.

Most intense lines, 5 to 70 degrees two-theta, by angle:
- 2θ = 25.3°, I = 12
- 2θ = 25.4°, I = 34
- 2θ = 31.1°, I = 16
- 2θ = 31.2°, I = 16
- 2θ = 36.2°, I = 20
- 2θ = 40.6°, I = 100
- 2θ = 40.7°, I = 97
- 2θ = 44.5°, I = 19
- 2θ = 44.8°, I = 76
- 2θ = 62.1°, I = 9

Crystal structure
```
data_Ga4PdPt3
_chemical_formula_sum 'Ga12 Pd3 Pt9'
_symmetry_space_group_name_H-M 'R 3'
_symmetry_Int_Tables_number 146
_symmetry_space_group_name_Hall 'R 3'
_cell_length_a 7.0067
_cell_length_b 7.0067
_cell_length_c 8.6378
_cell_angle_alpha 90.00
_cell_angle_beta 90.00
_cell_angle_gamma 120.00
loop_
_atom_site_label
_atom_site_fract_x
_atom_site_fract_y
_atom_site_fract_z
Ga1 0.0000 0.0000 0.0000
Ga2 0.1036 0.3937 0.2103
Pd1 0.0000 0.0000 0.3043
Pt1 0.0279 0.7616 0.7753
```



The following is a computed X-ray powder pattern of Tm2Ga4PdPt. It was derived from a crystal structure in OQMD, relaxed with GGA-PBE, using Cu Kα (weighted mean of Kα1 and Kα2).
Intensities are scaled so that the largest is 100.

Most intense lines, 5 to 70 degrees two-theta, by angle:
- 2θ = 27.5°, I = 20
- 2θ = 29.6°, I = 17
- 2θ = 30.5°, I = 30
- 2θ = 35.9°, I = 100
- 2θ = 38.3°, I = 58
- 2θ = 39.0°, I = 62
- 2θ = 42.6°, I = 23
- 2θ = 54.2°, I = 29
- 2θ = 56.4°, I = 23
- 2θ = 68.3°, I = 21

Crystal structure
```
data_Tm2Ga4PdPt
_chemical_formula_sum 'Tm4 Ga8 Pd2 Pt2'
_symmetry_space_group_name_H-M 'A m m 2'
_symmetry_Int_Tables_number 38
_symmetry_space_group_name_Hall 'A 2 -2'
_cell_length_a 6.487
_cell_length_b 3.386
_cell_length_c 13.613
_cell_angle_alpha 90.00
_cell_angle_beta 90.00
_cell_angle_gamma 90.00
loop_
_atom_site_label
_atom_site_fract_x
_atom_site_fract_y
_atom_site_fract_z
Tm1 0.000 0.000 0.000
Tm2 0.500 0.000 0.482
Ga1 0.212 0.000 0.645
Ga2 0.291 0.000 0.835
Pd1 0.000 0.000 0.277
Pt1 0.500 0.000 0.204
```



The following is a computed X-ray powder pattern of PuGaPd2. It was derived from a crystal structure in OQMD, relaxed with GGA-PBE, using Cu Kα (weighted mean of Kα1 and Kα2).
Intensities are scaled so that the largest is 100.

Most intense lines, 5 to 70 degrees two-theta, by angle:
- 2θ = 31.3°, I = 55
- 2θ = 31.9°, I = 44
- 2θ = 33.4°, I = 19
- 2θ = 34.9°, I = 69
- 2θ = 35.8°, I = 100
- 2θ = 38.3°, I = 33
- 2θ = 39.6°, I = 51
- 2θ = 42.9°, I = 25
- 2θ = 51.4°, I = 18
- 2θ = 63.1°, I = 20

Crystal structure
```
data_PuGaPd2
_chemical_formula_sum 'Pu4 Ga4 Pd8'
_symmetry_space_group_name_H-M 'P n m a'
_symmetry_Int_Tables_number 62
_symmetry_space_group_name_Hall '-P 2ac 2n'
_cell_length_a 7.423
_cell_length_b 7.132
_cell_length_c 5.752
_cell_angle_alpha 90.00
_cell_angle_beta 90.00
_cell_angle_gamma 90.00
loop_
_atom_site_label
_atom_site_fract_x
_atom_site_fract_y
_atom_site_fract_z
Pu1 0.029 0.250 0.144
Ga1 0.115 0.750 0.351
Pd1 0.182 0.051 0.585
```



The following is a computed X-ray powder pattern of GaSb2Pd6. It was derived from a crystal structure in OQMD, relaxed with GGA-PBE, using Cu Kα (weighted mean of Kα1 and Kα2).
Intensities are scaled so that the largest is 100.

Most intense lines, 5 to 70 degrees two-theta, by angle:
- 2θ = 36.3°, I = 100
- 2θ = 38.4°, I = 35
- 2θ = 39.2°, I = 51
- 2θ = 43.7°, I = 56
- 2θ = 46.9°, I = 28
- 2θ = 53.2°, I = 5
- 2θ = 53.6°, I = 18
- 2θ = 58.1°, I = 9
- 2θ = 65.5°, I = 4
- 2θ = 67.8°, I = 13

Crystal structure
```
data_GaSb2Pd6
_chemical_formula_sum 'Ga1 Sb2 Pd6'
_symmetry_space_group_name_H-M 'P -6 2 m'
_symmetry_Int_Tables_number 189
_symmetry_space_group_name_Hall 'P -6 -2'
_cell_length_a 7.1698
_cell_length_b 7.1698
_cell_length_c 3.4218
_cell_angle_alpha 90.00
_cell_angle_beta 90.00
_cell_angle_gamma 120.00
loop_
_atom_site_label
_atom_site_fract_x
_atom_site_fract_y
_atom_site_fract_z
Ga1 0.0000 0.0000 0.0000
Sb1 0.3333 0.6667 0.5000
Pd1 0.0000 0.2655 0.5000
Pd2 0.0000 0.6195 0.0000
```



The following is a computed X-ray powder pattern of ZrScGa2Pd4. It was derived from a crystal structure in OQMD, relaxed with GGA-PBE, using Cu Kα (weighted mean of Kα1 and Kα2).
Intensities are scaled so that the largest is 100.

Most intense lines, 5 to 70 degrees two-theta, by angle:
- 2θ = 20.6°, I = 16
- 2θ = 23.7°, I = 17
- 2θ = 25.9°, I = 8
- 2θ = 31.7°, I = 11
- 2θ = 39.6°, I = 100
- 2θ = 41.7°, I = 91
- 2θ = 47.0°, I = 11
- 2θ = 48.8°, I = 9
- 2θ = 58.9°, I = 30
- 2θ = 66.1°, I = 4

Crystal structure
```
data_ZrScGa2Pd4
_chemical_formula_sum 'Zr1 Sc1 Ga2 Pd4'
_symmetry_space_group_name_H-M 'P -6 m 2'
_symmetry_Int_Tables_number 187
_symmetry_space_group_name_Hall 'P -6 2'
_cell_length_a 4.3275
_cell_length_b 4.3275
_cell_length_c 8.6058
_cell_angle_alpha 90.00
_cell_angle_beta 90.00
_cell_angle_gamma 120.00
loop_
_atom_site_label
_atom_site_fract_x
_atom_site_fract_y
_atom_site_fract_z
Zr1 0.0000 0.0000 0.0000
Sc1 0.6667 0.3333 0.5000
Ga1 0.3333 0.6667 0.2532
Pd1 0.0000 0.0000 0.3355
Pd2 0.6667 0.3333 0.1631
```



The following is a computed X-ray powder pattern of YGaSiPd2. It was derived from a crystal structure in OQMD, relaxed with GGA-PBE, using Cu Kα (weighted mean of Kα1 and Kα2).
Intensities are scaled so that the largest is 100.

Most intense lines, 5 to 70 degrees two-theta, by angle:
- 2θ = 27.5°, I = 14
- 2θ = 31.6°, I = 9
- 2θ = 33.7°, I = 29
- 2θ = 35.0°, I = 100
- 2θ = 43.4°, I = 50
- 2θ = 46.7°, I = 23
- 2θ = 49.1°, I = 20
- 2θ = 56.1°, I = 13
- 2θ = 63.1°, I = 16
- 2θ = 67.6°, I = 15

Crystal structure
```
data_YGaSiPd2
_chemical_formula_sum 'Y2 Ga2 Si2 Pd4'
_symmetry_space_group_name_H-M 'P 4/n m m'
_symmetry_Int_Tables_number 129
_cell_length_a 4.167
_cell_length_b 4.167
_cell_length_c 10.372
_cell_angle_alpha 90.00
_cell_angle_beta 90.00
_cell_angle_gamma 90.00
loop_
_symmetry_equiv_pos_as_xyz
'x,y,z'
'-x,-y,-z'
'-y+1/2,x,z'
'y+1/2,-x,-z'
'-x+1/2,-y+1/2,z'
'x+1/2,y+1/2,-z'
'y,-x+1/2,z'
'-y,x+1/2,-z'
'x+1/2,-y,-z'
'-x+1/2,y,z'
'-y,-x,-z'
'y,x,z'
'-x,y+1/2,-z'
'x,-y+1/2,z'
'y+1/2,x+1/2,-z'
'-y+1/2,-x+1/2,z'
loop_
_atom_site_label
_atom_site_fract_x
_atom_site_fract_y
_atom_site_fract_z
Y1 0.250 0.250 0.247
Ga1 0.250 0.750 0.500
Si1 0.250 0.250 0.871
Pd1 0.250 0.250 0.645
Pd2 0.250 0.750 0.000
```



> Which formula does entry 10 have?

GaSb2Pd6



> Which formula does entry 7 have?

Ga4PdPt3